[1]
Cs3Hg13Pd2: calculated powder X-ray diffraction pattern (Cu Kα X-rays), based on a structure optimized by DFT (PBE).
Lines closer than 0.1° are merged.

Principal peaks in the range 10 to 90 degrees two-theta, low angle first:
2θ = 15.23°, rel. 41
2θ = 30.74°, rel. 45
2θ = 32.48°, rel. 100
2θ = 36.05°, rel. 64
2θ = 37.28°, rel. 20
2θ = 50.74°, rel. 29
2θ = 54.65°, rel. 33
2θ = 68.02°, rel. 21

Structure:
Lattice parameters (Å, degrees): 6.718 6.718 14.472 90.00 90.00 120.00
Atoms (fractional coordinates):
Cs 0.000 0.000 0.000
Cs 0.000 0.000 0.329
Cs 0.000 0.000 0.671
Hg 0.000 0.500 0.141
Hg 0.000 0.500 0.500
Hg 0.000 0.500 0.859
Hg 0.333 0.667 0.315
Hg 0.333 0.667 0.685
Hg 0.500 0.000 0.141
Hg 0.500 0.000 0.500
Hg 0.500 0.000 0.859
Hg 0.500 0.500 0.141
Hg 0.500 0.500 0.500
Hg 0.500 0.500 0.859
Hg 0.667 0.333 0.315
Hg 0.667 0.333 0.685
Pd 0.333 0.667 0.000
Pd 0.667 0.333 0.000



[2]
SrCa2Hg2Pb2: calculated powder X-ray diffraction pattern (Cu Kα X-rays), based on a structure optimized by DFT (PBE).
Lines closer than 0.1° are merged.

Principal peaks in the range 10 to 90 degrees two-theta, low angle first:
2θ = 18.83°, rel. 32
2θ = 23.56°, rel. 57
2θ = 29.82°, rel. 72
2θ = 34.79°, rel. 100
2θ = 37.65°, rel. 35
2θ = 39.85°, rel. 31
2θ = 40.49°, rel. 28
2θ = 59.31°, rel. 33

Structure:
Lattice parameters (Å, degrees): 9.886 9.886 9.886 30.24 30.24 30.24
Atoms (fractional coordinates):
Sr 0.000 0.000 0.000
Ca 0.136 0.136 0.136
Ca 0.864 0.864 0.864
Hg 0.443 0.443 0.443
Hg 0.557 0.557 0.557
Pb 0.261 0.261 0.261
Pb 0.739 0.739 0.739



[3]
ZrTiN2O: calculated powder X-ray diffraction pattern (Cu Kα X-rays), based on a structure optimized by DFT (PBE).
Lines closer than 0.1° are merged.

Principal peaks in the range 10 to 90 degrees two-theta, low angle first:
2θ = 32.17°, rel. 60
2θ = 33.25°, rel. 100
2θ = 40.58°, rel. 29
2θ = 46.14°, rel. 41
2θ = 49.29°, rel. 16
2θ = 58.05°, rel. 39
2θ = 60.09°, rel. 19
2θ = 69.81°, rel. 20

Structure:
Lattice parameters (Å, degrees): 3.934 3.934 3.698 90.00 90.00 90.00
Atoms (fractional coordinates):
Zr 0.000 0.000 0.000
Ti 0.500 0.500 0.500
N 0.000 0.500 0.500
N 0.500 0.000 0.500
O 0.500 0.500 0.000



[4]
La5Pm4Tm3: calculated powder X-ray diffraction pattern (Cu Kα X-rays), based on a structure optimized by DFT (PBE).
Lines closer than 0.1° are merged.

Principal peaks in the range 10 to 90 degrees two-theta, low angle first:
2θ = 28.66°, rel. 66
2θ = 30.03°, rel. 100
2θ = 30.24°, rel. 22
2θ = 30.56°, rel. 58
2θ = 30.81°, rel. 80
2θ = 31.50°, rel. 33
2θ = 32.99°, rel. 20
2θ = 43.95°, rel. 44

Structure:
Lattice parameters (Å, degrees): 9.697 9.697 8.936 116.94 116.94 34.82
Atoms (fractional coordinates):
La 0.000 0.000 0.000
La 0.331 0.331 0.081
La 0.390 0.390 0.571
La 0.610 0.610 0.429
La 0.669 0.669 0.919
Pm 0.031 0.031 0.706
Pm 0.197 0.197 0.644
Pm 0.803 0.803 0.356
Pm 0.969 0.969 0.294
Tm 0.183 0.183 0.227
Tm 0.500 0.500 0.000
Tm 0.817 0.817 0.773



[5]
CaPu2Ir9: calculated powder X-ray diffraction pattern (Cu Kα X-rays), based on a structure optimized by DFT (PBE).
Lines closer than 0.1° are merged.

Principal peaks in the range 10 to 90 degrees two-theta, low angle first:
2θ = 19.59°, rel. 25
2θ = 33.76°, rel. 25
2θ = 39.33°, rel. 31
2θ = 39.68°, rel. 100
2θ = 41.60°, rel. 27
2θ = 42.60°, rel. 35
2θ = 42.92°, rel. 58
2θ = 70.99°, rel. 31

Structure:
Lattice parameters (Å, degrees): 9.292 9.292 9.292 33.21 33.21 33.21
Atoms (fractional coordinates):
Ca 0.000 0.000 0.000
Pu 0.139 0.139 0.139
Pu 0.861 0.861 0.861
Ir 0.081 0.584 0.584
Ir 0.333 0.333 0.333
Ir 0.416 0.416 0.919
Ir 0.416 0.919 0.416
Ir 0.500 0.500 0.500
Ir 0.584 0.081 0.584
Ir 0.584 0.584 0.081
Ir 0.667 0.667 0.667
Ir 0.919 0.416 0.416



[6]
Ti2CoIr: calculated powder X-ray diffraction pattern (Cu Kα X-rays), based on a structure optimized by DFT (PBE).
Lines closer than 0.1° are merged.

Principal peaks in the range 10 to 90 degrees two-theta, low angle first:
2θ = 21.43°, rel. 35
2θ = 26.90°, rel. 15
2θ = 30.48°, rel. 23
2θ = 34.65°, rel. 22
2θ = 41.10°, rel. 100
2θ = 43.65°, rel. 42
2θ = 73.10°, rel. 17
2θ = 78.43°, rel. 28

Structure:
Lattice parameters (Å, degrees): 4.147 4.147 3.314 90.00 90.00 90.00
Atoms (fractional coordinates):
Ti 0.000 0.500 0.000
Ti 0.500 0.000 0.000
Co 0.000 0.000 0.500
Ir 0.500 0.500 0.500



[7]
La6PrSm2Dy: calculated powder X-ray diffraction pattern (Cu Kα X-rays), based on a structure optimized by DFT (PBE).
Lines closer than 0.1° are merged.

Principal peaks in the range 10 to 90 degrees two-theta, low angle first:
2θ = 26.97°, rel. 46
2θ = 29.53°, rel. 36
2θ = 29.89°, rel. 76
2θ = 30.01°, rel. 100
2θ = 31.03°, rel. 42
2θ = 31.56°, rel. 44
2θ = 31.75°, rel. 49
2θ = 32.34°, rel. 45

Structure:
Lattice parameters (Å, degrees): 6.775 6.775 9.213 104.32 104.32 63.34
Atoms (fractional coordinates):
La 0.078 0.541 0.202
La 0.128 0.128 0.423
La 0.459 0.922 0.798
La 0.541 0.078 0.202
La 0.872 0.872 0.577
La 0.922 0.459 0.798
Pr 0.000 0.000 0.000
Sm 0.421 0.421 0.827
Sm 0.579 0.579 0.173
Dy 0.500 0.500 0.500



[8]
AgSnBr4: calculated powder X-ray diffraction pattern (Cu Kα X-rays), based on a structure optimized by DFT (PBE).
Lines closer than 0.1° are merged.

Principal peaks in the range 10 to 90 degrees two-theta, low angle first:
2θ = 13.12°, rel. 81
2θ = 25.14°, rel. 39
2θ = 30.41°, rel. 100
2θ = 30.63°, rel. 48
2θ = 43.50°, rel. 36
2θ = 43.74°, rel. 18
2θ = 43.91°, rel. 34
2θ = 54.35°, rel. 27

Structure:
Lattice parameters (Å, degrees): 7.180 7.180 7.220 100.47 100.47 33.51
Atoms (fractional coordinates):
Ag 0.000 0.000 0.000
Sn 0.500 0.500 0.500
Br 0.123 0.123 0.393
Br 0.388 0.388 0.138
Br 0.612 0.612 0.862
Br 0.877 0.877 0.607